No. 1
Starting from a DFT-relaxed cell (GGA-PBE, OQMD), the powder diffraction line list of Nd5Os2Cl3O10 was computed for CuKα.
Neutral-atom scattering factors, no anomalous dispersion.

Structure:
a = 6.943 Å, b = 6.943 Å, c = 9.123 Å
α = 103.51°, β = 103.51°, γ = 48.34°
Element x y z (fractional)
Nd (0.000, 0.000, 0.000)
Nd (0.314, 0.314, 0.122)
Nd (0.352, 0.352, 0.734)
Nd (0.648, 0.648, 0.266)
Nd (0.686, 0.686, 0.878)
Os (0.019, 0.019, 0.635)
Os (0.981, 0.981, 0.365)
Cl (0.199, 0.199, 0.398)
Cl (0.500, 0.500, 0.500)
Cl (0.801, 0.801, 0.602)
O (0.095, 0.587, 0.932)
O (0.167, 0.167, 0.699)
O (0.237, 0.745, 0.226)
O (0.255, 0.763, 0.774)
O (0.413, 0.905, 0.068)
O (0.587, 0.095, 0.932)
O (0.745, 0.237, 0.226)
O (0.763, 0.255, 0.774)
O (0.833, 0.833, 0.301)
O (0.905, 0.413, 0.068)

Top 6 peaks for 2θ = 10–80°, by intensity:
- 3.316 Å, I 100
- 2.681 Å, I 70
- 2.843 Å, I 49
- 3.545 Å, I 39
- 2.025 Å, I 34
- 2.885 Å, I 27


No. 2
Starting from a DFT-relaxed cell (GGA-PBE, OQMD), the powder diffraction line list of Nd4PClO8 was computed for CuKα.
Neutral-atom scattering factors, no anomalous dispersion.

Structure:
a = 12.950 Å, b = 5.831 Å, c = 5.773 Å
α = 90.00°, β = 90.00°, γ = 90.00°
Element x y z (fractional)
Nd (0.161, 0.019, 0.000)
Nd (0.168, 0.488, 0.531)
Nd (0.332, 0.512, 0.031)
Nd (0.339, 0.981, 0.500)
Nd (0.661, 0.981, 0.500)
Nd (0.668, 0.512, 0.031)
Nd (0.832, 0.488, 0.531)
Nd (0.839, 0.019, 0.000)
P (0.000, 0.542, 0.058)
P (0.500, 0.458, 0.558)
Cl (0.000, 0.050, 0.564)
Cl (0.500, 0.950, 0.064)
O (0.000, 0.501, 0.324)
O (0.000, 0.805, 0.017)
O (0.096, 0.433, 0.946)
O (0.230, 0.757, 0.262)
O (0.250, 0.242, 0.269)
O (0.250, 0.758, 0.769)
O (0.270, 0.243, 0.762)
O (0.404, 0.567, 0.446)
O (0.500, 0.195, 0.517)
O (0.500, 0.499, 0.824)
O (0.596, 0.567, 0.446)
O (0.730, 0.243, 0.762)
O (0.750, 0.242, 0.269)
O (0.750, 0.758, 0.769)
O (0.770, 0.757, 0.262)
O (0.904, 0.433, 0.946)

Top 6 peaks for 2θ = 10–80°, by intensity:
- 2.974 Å, I 100
- 3.911 Å, I 25
- 6.475 Å, I 22
- 2.915 Å, I 21
- 2.886 Å, I 21
- 2.051 Å, I 20


No. 3
Starting from a DFT-relaxed cell (GGA-PBE, OQMD), the powder diffraction line list of Nd5Pb2Cl3O10 was computed for CuKα.
Neutral-atom scattering factors, no anomalous dispersion.

Structure:
a = 6.881 Å, b = 6.881 Å, c = 10.148 Å
α = 90.62°, β = 90.62°, γ = 49.97°
Element x y z (fractional)
Nd (0.000, 0.000, 0.000)
Nd (0.298, 0.298, 0.094)
Nd (0.410, 0.410, 0.762)
Nd (0.590, 0.590, 0.238)
Nd (0.702, 0.702, 0.906)
Pb (0.097, 0.097, 0.666)
Pb (0.903, 0.903, 0.334)
Cl (0.112, 0.112, 0.387)
Cl (0.500, 0.500, 0.500)
Cl (0.888, 0.888, 0.613)
O (0.104, 0.599, 0.926)
O (0.190, 0.684, 0.191)
O (0.256, 0.256, 0.647)
O (0.316, 0.810, 0.809)
O (0.401, 0.896, 0.074)
O (0.599, 0.104, 0.926)
O (0.684, 0.190, 0.191)
O (0.744, 0.744, 0.353)
O (0.810, 0.316, 0.809)
O (0.896, 0.401, 0.074)

Top 6 peaks for 2θ = 10–80°, by intensity:
- 3.199 Å, I 100
- 2.853 Å, I 68
- 2.906 Å, I 41
- 3.664 Å, I 39
- 1.967 Å, I 27
- 4.684 Å, I 22


No. 4
Starting from a DFT-relaxed cell (GGA-PBE, OQMD), the powder diffraction line list of Nd5Pd2Cl3O10 was computed for CuKα.
Neutral-atom scattering factors, no anomalous dispersion.

Structure:
a = 6.841 Å, b = 6.841 Å, c = 9.818 Å
α = 91.98°, β = 91.98°, γ = 48.39°
Element x y z (fractional)
Nd (0.000, 0.000, 0.000)
Nd (0.299, 0.299, 0.108)
Nd (0.392, 0.392, 0.755)
Nd (0.608, 0.608, 0.245)
Nd (0.701, 0.701, 0.892)
Pd (0.070, 0.070, 0.659)
Pd (0.930, 0.930, 0.341)
Cl (0.126, 0.126, 0.391)
Cl (0.500, 0.500, 0.500)
Cl (0.874, 0.874, 0.609)
O (0.103, 0.597, 0.932)
O (0.194, 0.705, 0.202)
O (0.220, 0.220, 0.689)
O (0.295, 0.806, 0.798)
O (0.403, 0.897, 0.068)
O (0.597, 0.103, 0.932)
O (0.705, 0.194, 0.202)
O (0.780, 0.780, 0.311)
O (0.806, 0.295, 0.798)
O (0.897, 0.403, 0.068)

Top 6 peaks for 2θ = 10–80°, by intensity:
- 3.132 Å, I 100
- 2.775 Å, I 83
- 3.568 Å, I 55
- 2.804 Å, I 44
- 1.936 Å, I 34
- 3.339 Å, I 32


No. 5
Starting from a DFT-relaxed cell (GGA-PBE, OQMD), the powder diffraction line list of Nd5Re2Cl3O10 was computed for CuKα.
Neutral-atom scattering factors, no anomalous dispersion.

Structure:
a = 6.844 Å, b = 6.844 Å, c = 9.770 Å
α = 91.11°, β = 91.11°, γ = 49.19°
Element x y z (fractional)
Nd (0.000, 0.000, 0.000)
Nd (0.298, 0.298, 0.105)
Nd (0.403, 0.403, 0.757)
Nd (0.597, 0.597, 0.243)
Nd (0.702, 0.702, 0.895)
Re (0.086, 0.086, 0.661)
Re (0.914, 0.914, 0.339)
Cl (0.120, 0.120, 0.391)
Cl (0.500, 0.500, 0.500)
Cl (0.880, 0.880, 0.609)
O (0.104, 0.598, 0.930)
O (0.182, 0.703, 0.204)
O (0.234, 0.234, 0.665)
O (0.297, 0.818, 0.796)
O (0.402, 0.896, 0.070)
O (0.598, 0.104, 0.930)
O (0.703, 0.182, 0.204)
O (0.766, 0.766, 0.335)
O (0.818, 0.297, 0.796)
O (0.896, 0.402, 0.070)

Top 6 peaks for 2θ = 10–80°, by intensity:
- 3.155 Å, I 100
- 2.768 Å, I 66
- 3.569 Å, I 43
- 2.849 Å, I 41
- 1.940 Å, I 28
- 2.019 Å, I 27


No. 6
Starting from a DFT-relaxed cell (GGA-PBE, OQMD), the powder diffraction line list of Nd3Si2ClO8 was computed for CuKα.
Neutral-atom scattering factors, no anomalous dispersion.

Structure:
a = 7.724 Å, b = 7.724 Å, c = 8.764 Å
α = 97.72°, β = 97.72°, γ = 48.85°
Element x y z (fractional)
Nd (0.077, 0.923, 0.750)
Nd (0.211, 0.420, 0.329)
Nd (0.420, 0.211, 0.829)
Nd (0.580, 0.789, 0.171)
Nd (0.789, 0.580, 0.671)
Nd (0.923, 0.077, 0.250)
Si (0.104, 0.211, 0.025)
Si (0.211, 0.104, 0.525)
Si (0.789, 0.896, 0.475)
Si (0.896, 0.789, 0.975)
Cl (0.474, 0.526, 0.250)
Cl (0.526, 0.474, 0.750)
O (0.041, 0.268, 0.844)
O (0.055, 0.793, 0.469)
O (0.097, 0.618, 0.855)
O (0.205, 0.321, 0.582)
O (0.207, 0.945, 0.031)
O (0.268, 0.041, 0.344)
O (0.321, 0.205, 0.082)
O (0.382, 0.903, 0.645)
O (0.618, 0.097, 0.355)
O (0.679, 0.795, 0.918)
O (0.732, 0.959, 0.656)
O (0.793, 0.055, 0.969)
O (0.795, 0.679, 0.418)
O (0.903, 0.382, 0.145)
O (0.945, 0.207, 0.531)
O (0.959, 0.732, 0.156)

Top 6 peaks for 2θ = 10–80°, by intensity:
- 2.997 Å, I 100
- 3.753 Å, I 84
- 4.334 Å, I 70
- 2.932 Å, I 69
- 1.988 Å, I 58
- 3.303 Å, I 57


No. 7
Starting from a DFT-relaxed cell (GGA-PBE, OQMD), the powder diffraction line list of Nd3Si2ClO8 was computed for CuKα.
Neutral-atom scattering factors, no anomalous dispersion.

Structure:
a = 7.103 Å, b = 18.141 Å, c = 6.314 Å
α = 90.00°, β = 90.00°, γ = 90.00°
Element x y z (fractional)
Nd (0.026, 0.092, 0.127)
Nd (0.026, 0.408, 0.127)
Nd (0.192, 0.750, 0.383)
Nd (0.308, 0.250, 0.883)
Nd (0.474, 0.592, 0.627)
Nd (0.474, 0.908, 0.627)
Nd (0.526, 0.092, 0.373)
Nd (0.526, 0.408, 0.373)
Nd (0.692, 0.750, 0.117)
Nd (0.808, 0.250, 0.617)
Nd (0.974, 0.592, 0.873)
Nd (0.974, 0.908, 0.873)
Si (0.035, 0.100, 0.622)
Si (0.035, 0.400, 0.622)
Si (0.465, 0.600, 0.122)
Si (0.465, 0.900, 0.122)
Si (0.535, 0.100, 0.878)
Si (0.535, 0.400, 0.878)
Si (0.965, 0.600, 0.378)
Si (0.965, 0.900, 0.378)
Cl (0.060, 0.250, 0.244)
Cl (0.440, 0.750, 0.744)
Cl (0.560, 0.250, 0.256)
Cl (0.940, 0.750, 0.756)
O (0.020, 0.030, 0.783)
O (0.020, 0.470, 0.783)
O (0.046, 0.174, 0.779)
O (0.046, 0.326, 0.779)
O (0.151, 0.619, 0.528)
O (0.151, 0.881, 0.528)
O (0.206, 0.096, 0.453)
O (0.206, 0.404, 0.453)
O (0.294, 0.596, 0.953)
O (0.294, 0.904, 0.953)
O (0.349, 0.119, 0.028)
O (0.349, 0.381, 0.028)
O (0.454, 0.674, 0.279)
O (0.454, 0.826, 0.279)
O (0.480, 0.530, 0.283)
O (0.480, 0.970, 0.283)
O (0.520, 0.030, 0.717)
O (0.520, 0.470, 0.717)
O (0.546, 0.174, 0.721)
O (0.546, 0.326, 0.721)
O (0.651, 0.619, 0.972)
O (0.651, 0.881, 0.972)
O (0.706, 0.096, 0.047)
O (0.706, 0.404, 0.047)
O (0.794, 0.596, 0.547)
O (0.794, 0.904, 0.547)
O (0.849, 0.119, 0.472)
O (0.849, 0.381, 0.472)
O (0.954, 0.674, 0.221)
O (0.954, 0.826, 0.221)
O (0.980, 0.530, 0.217)
O (0.980, 0.970, 0.217)

Top 6 peaks for 2θ = 10–80°, by intensity:
- 4.367 Å, I 100
- 3.024 Å, I 98
- 2.604 Å, I 75
- 1.808 Å, I 71
- 2.849 Å, I 67
- 4.567 Å, I 60


No. 8
Starting from a DFT-relaxed cell (GGA-PBE, OQMD), the powder diffraction line list of Nd2Ta2Cl2O7 was computed for CuKα.
Neutral-atom scattering factors, no anomalous dispersion.

Structure:
a = 7.928 Å, b = 7.928 Å, c = 6.910 Å
α = 113.16°, β = 113.16°, γ = 28.69°
Element x y z (fractional)
Nd (0.193, 0.193, 0.167)
Nd (0.807, 0.807, 0.833)
Ta (0.465, 0.465, 0.201)
Ta (0.535, 0.535, 0.799)
Cl (0.177, 0.177, 0.565)
Cl (0.823, 0.823, 0.435)
O (0.045, 0.045, 0.837)
O (0.324, 0.324, 0.069)
O (0.417, 0.417, 0.846)
O (0.500, 0.500, 0.500)
O (0.583, 0.583, 0.154)
O (0.676, 0.676, 0.931)
O (0.955, 0.955, 0.163)

Top 6 peaks for 2θ = 10–80°, by intensity:
- 3.009 Å, I 100
- 3.787 Å, I 75
- 3.040 Å, I 65
- 2.566 Å, I 60
- 6.315 Å, I 50
- 3.099 Å, I 42


No. 9
Starting from a DFT-relaxed cell (GGA-PBE, OQMD), the powder diffraction line list of Nd5Ta2Cl3O10 was computed for CuKα.
Neutral-atom scattering factors, no anomalous dispersion.

Structure:
a = 6.862 Å, b = 6.862 Å, c = 9.767 Å
α = 99.23°, β = 99.23°, γ = 49.16°
Element x y z (fractional)
Nd (0.000, 0.000, 0.000)
Nd (0.308, 0.308, 0.111)
Nd (0.371, 0.371, 0.755)
Nd (0.629, 0.629, 0.245)
Nd (0.692, 0.692, 0.889)
Ta (0.042, 0.042, 0.661)
Ta (0.958, 0.958, 0.339)
Cl (0.187, 0.187, 0.360)
Cl (0.500, 0.500, 0.500)
Cl (0.813, 0.813, 0.640)
O (0.101, 0.589, 0.936)
O (0.187, 0.187, 0.667)
O (0.220, 0.724, 0.213)
O (0.276, 0.780, 0.787)
O (0.411, 0.899, 0.064)
O (0.589, 0.101, 0.936)
O (0.724, 0.220, 0.213)
O (0.780, 0.276, 0.787)
O (0.813, 0.813, 0.333)
O (0.899, 0.411, 0.064)

Top 6 peaks for 2θ = 10–80°, by intensity:
- 2.821 Å, I 100
- 3.327 Å, I 53
- 3.014 Å, I 50
- 2.854 Å, I 39
- 2.007 Å, I 30
- 1.944 Å, I 23


No. 10
Starting from a DFT-relaxed cell (GGA-PBE, OQMD), the powder diffraction line list of Nd4OsCl5 was computed for CuKα.
Neutral-atom scattering factors, no anomalous dispersion.

Structure:
a = 9.356 Å, b = 9.356 Å, c = 8.729 Å
α = 106.00°, β = 106.00°, γ = 25.35°
Element x y z (fractional)
Nd (0.001, 0.001, 0.232)
Nd (0.348, 0.348, 0.906)
Nd (0.652, 0.652, 0.094)
Nd (0.999, 0.999, 0.768)
Os (0.500, 0.500, 0.000)
Cl (0.168, 0.168, 0.329)
Cl (0.171, 0.171, 0.870)
Cl (0.500, 0.500, 0.500)
Cl (0.829, 0.829, 0.130)
Cl (0.832, 0.832, 0.671)

Top 6 peaks for 2θ = 10–80°, by intensity:
- 8.374 Å, I 100
- 2.989 Å, I 82
- 8.756 Å, I 64
- 2.056 Å, I 42
- 2.919 Å, I 37
- 2.122 Å, I 25